Entry 1:
Ag2Hg3I3: calculated powder XRD pattern (CuKα), based on a cell relaxed with GGA-PBE.

Most intense lines, 2θ = 5–70°, by angle:
2θ = 17.17°, I 47; 2θ = 27.22°, I 100; 2θ = 27.39°, I 66; 2θ = 28.80°, I 42; 2θ = 32.17°, I 28; 2θ = 32.57°, I 40; 2θ = 38.83°, I 39; 2θ = 39.16°, I 30; 2θ = 40.16°, I 26; 2θ = 51.81°, I 23

Structural model:
```
32
Lattice="7.2670 4.1956 6.0248 -7.2670 4.1956 6.0248 0.0000 -8.3912 6.0248" Properties=species:S:1:pos:R:3 pbc="T T T"
Ag 0.0000 0.0000 4.2934
Ag -0.3433 -4.1493 7.7296
Ag -3.7650 -1.7773 10.3447
Ag -3.4217 2.3720 7.7296
Ag 3.4217 -2.3719 10.3447
Ag 3.7650 1.7773 7.7296
Ag 0.3433 4.1493 10.3447
Ag 0.0000 0.0000 13.7809
Hg -5.6384 0.9802 6.7415
Hg -2.2473 0.3307 6.0750
Hg -3.6681 -4.3929 11.3328
Hg 1.9703 -5.3731 6.7415
Hg 0.8372 -2.1116 6.0750
Hg -1.4101 -1.7809 11.9994
Hg 1.4101 1.7809 6.0750
Hg -0.8372 2.1116 11.9994
Hg -1.9703 5.3731 11.3328
Hg 3.6681 4.3928 6.7415
Hg 2.2473 -0.3307 11.9994
Hg 5.6384 -0.9802 11.3328
I -0.8829 -2.3487 2.8914
I -1.5926 1.9390 2.8914
I -2.6163 -2.4951 7.8033
I 2.4755 0.4098 2.8914
I -3.4690 1.0182 10.2711
I 0.8527 -3.5133 10.2711
I -0.8527 3.5133 7.8033
I 3.4690 -1.0182 7.8033
I -2.4755 -0.4098 15.1829
I 2.6163 2.4951 10.2711
I 1.5926 -1.9390 15.1829
I 0.8829 2.3487 15.1829
```

Entry 2:
Ag3HgI4: calculated powder XRD pattern (CuKα), based on a cell relaxed with GGA-PBE.

Most intense lines, 2θ = 5–70°, by angle:
2θ = 22.09°, I 28; 2θ = 22.94°, I 100; 2θ = 37.01°, I 45; 2θ = 38.07°, I 51; 2θ = 43.52°, I 16; 2θ = 44.45°, I 25; 2θ = 44.92°, I 17; 2θ = 54.15°, I 15; 2θ = 60.31°, I 14; 2θ = 68.10°, I 15

Structural model:
```
8
Lattice="2.3636 1.3646 16.0946 -2.3636 1.3646 16.0946 0.0000 -2.7292 16.0946" Properties=species:S:1:pos:R:3 pbc="T T T"
Ag 0.0000 0.0000 0.0000
Ag 0.0000 0.0000 12.2862
Ag 0.0000 0.0000 35.9821
Hg 0.0000 0.0000 23.9968
I 0.0000 0.0000 9.4506
I 0.0000 0.0000 20.8076
I 0.0000 0.0000 33.1086
I 0.0000 0.0000 45.4139
```

Entry 3:
AgHg2I: calculated powder XRD pattern (CuKα), based on a cell relaxed with GGA-PBE.

Most intense lines, 2θ = 5–70°, by angle:
2θ = 21.19°, I 100; 2θ = 21.27°, I 52; 2θ = 24.46°, I 53; 2θ = 26.49°, I 71; 2θ = 26.57°, I 34; 2θ = 35.63°, I 47; 2θ = 36.42°, I 99; 2θ = 36.58°, I 49; 2θ = 39.18°, I 55; 2θ = 44.35°, I 32

Structural model:
```
4
Lattice="4.9137 0.0000 0.0000 2.4459 4.2780 0.0000 2.4533 1.4151 7.2782" Properties=species:S:1:pos:R:3 pbc="T T T"
Ag 0.0000 0.0000 0.0000
Hg 2.4678 1.4477 4.3398
Hg 7.3687 4.2885 2.9862
I 4.9036 2.8455 0.0923
```

Entry 4:
Ag2HgI6: calculated powder XRD pattern (CuKα), based on a cell relaxed with GGA-PBE.

Most intense lines, 2θ = 5–70°, by angle:
2θ = 10.93°, I 100; 2θ = 15.32°, I 27; 2θ = 15.65°, I 28; 2θ = 22.26°, I 71; 2θ = 33.21°, I 29; 2θ = 33.65°, I 29; 2θ = 37.11°, I 20; 2θ = 43.91°, I 23; 2θ = 44.52°, I 28; 2θ = 44.79°, I 19

Structural model:
```
18
Lattice="6.8565 -5.7853 0.0000 6.8565 5.7853 0.0000 -6.1755 0.0000 11.0395" Properties=species:S:1:pos:R:3 pbc="T T T"
Ag 0.0971 1.3978 5.1076
Ag -2.9907 -1.3978 10.6273
Ag 10.5281 1.3978 0.4122
Ag 7.4403 -1.3978 5.9320
Hg 2.2248 1.0792 8.2797
Hg 5.3126 -1.0792 2.7599
I -3.2013 0.1043 8.1940
I -0.1135 -0.1043 2.6743
I 2.7210 2.4714 5.8073
I 3.0406 0.4256 1.8500
I -0.0471 -0.4256 7.3698
I 1.7286 2.4714 10.7520
I 5.8088 -2.4714 0.2875
I 7.5845 0.4256 3.6697
I 4.4968 -0.4256 9.1895
I 4.8164 -2.4714 5.2323
I 7.6509 0.1043 8.3653
I 10.7387 -0.1043 2.8455
```

Entry 5:
AgHgI2: calculated powder XRD pattern (CuKα), based on a cell relaxed with GGA-PBE.

Most intense lines, 2θ = 5–70°, by angle:
2θ = 9.78°, I 47; 2θ = 10.93°, I 72; 2θ = 23.04°, I 35; 2θ = 24.49°, I 71; 2θ = 25.59°, I 100; 2θ = 26.14°, I 36; 2θ = 30.18°, I 41; 2θ = 39.56°, I 40; 2θ = 41.40°, I 34; 2θ = 42.53°, I 52

Structural model:
```
8
Lattice="4.5564 0.0000 0.0000 -2.2705 8.2798 0.0000 -0.0199 -1.9575 9.0466" Properties=species:S:1:pos:R:3 pbc="T T T"
Ag 0.0000 0.0000 0.0000
Ag 0.0034 7.6384 1.9524
Hg -0.0169 2.8044 7.2562
Hg 2.2541 -0.6991 5.9623
I 2.2567 -0.1431 8.8586
I 2.2689 1.2601 4.0429
I 2.2813 5.9830 1.5744
I 2.2657 5.7239 6.0548
```

Entry 6:
AgHgI2: calculated powder XRD pattern (CuKα), based on a cell relaxed with GGA-PBE.

Most intense lines, 2θ = 5–70°, by angle:
2θ = 11.18°, I 61; 2θ = 24.18°, I 70; 2θ = 25.82°, I 100; 2θ = 30.28°, I 32; 2θ = 38.15°, I 25; 2θ = 38.95°, I 13; 2θ = 42.43°, I 19; 2θ = 43.49°, I 13; 2θ = 45.83°, I 12; 2θ = 46.47°, I 12

Structural model:
```
8
Lattice="4.5895 0.0000 0.0000 2.0276 7.9129 0.0000 2.0999 -0.1865 8.4154" Properties=species:S:1:pos:R:3 pbc="T T T"
Ag 1.1663 0.9835 0.1837
Ag 7.5507 6.7429 8.2317
Hg 4.6385 6.8546 4.7311
Hg 4.0784 0.8718 3.6842
I 2.9709 5.0138 5.8771
I 3.1614 6.2325 1.4086
I 5.5556 1.4939 7.0067
I 5.7461 2.7126 2.5382
```

Entry 7:
AgHg4I4: calculated powder XRD pattern (CuKα), based on a cell relaxed with GGA-PBE.

Most intense lines, 2θ = 5–70°, by angle:
2θ = 9.31°, I 68; 2θ = 11.64°, I 97; 2θ = 14.63°, I 100; 2θ = 17.19°, I 73; 2θ = 21.66°, I 53; 2θ = 25.59°, I 80; 2θ = 28.88°, I 66; 2θ = 31.03°, I 46; 2θ = 36.55°, I 44; 2θ = 39.99°, I 46

Structural model:
```
18
Lattice="11.9359 0.0000 0.0000 0.0000 6.1422 0.0000 -9.2095 0.0000 12.1097" Properties=species:S:1:pos:R:3 pbc="T T T"
Ag -2.3024 1.1071 3.0274
Ag -6.9071 5.0351 9.0823
Hg -7.8702 0.3455 11.7341
Hg -3.2654 5.7967 5.6793
Hg 0.6787 2.1858 5.3473
Hg -3.9261 3.9564 11.4021
Hg 6.6525 2.1858 0.7076
Hg 2.0477 3.9564 6.7625
Hg 5.9918 0.3455 6.4305
Hg 10.5966 5.7967 0.3756
I -2.3835 2.8267 5.4197
I -6.9882 3.3155 11.4746
I 0.3427 0.0087 3.6458
I -4.2621 6.1335 9.7007
I 6.9885 0.0087 2.4091
I 2.3837 6.1335 8.4640
I 9.7146 2.8267 0.6351
I 5.1098 3.3155 6.6900
```

Entry 8:
Ag4HgI5: calculated powder XRD pattern (CuKα), based on a cell relaxed with GGA-PBE.

Most intense lines, 2θ = 5–70°, by angle:
2θ = 22.31°, I 27; 2θ = 23.01°, I 100; 2θ = 37.28°, I 44; 2θ = 38.16°, I 52; 2θ = 43.87°, I 15; 2θ = 44.64°, I 25; 2θ = 45.03°, I 17; 2θ = 54.40°, I 14; 2θ = 60.45°, I 14; 2θ = 68.38°, I 15

Structural model:
```
10
Lattice="2.3585 1.3617 19.9274 -2.3585 1.3617 19.9274 0.0000 -2.7234 19.9274" Properties=species:S:1:pos:R:3 pbc="T T T"
Ag 0.0000 0.0000 0.0000
Ag 0.0000 0.0000 11.4194
Ag 0.0000 0.0000 23.7300
Ag 0.0000 0.0000 47.4560
Hg 0.0000 0.0000 35.7362
I 0.0000 0.0000 2.8745
I 0.0000 0.0000 14.2524
I 0.0000 0.0000 26.5997
I 0.0000 0.0000 38.9272
I 0.0000 0.0000 50.3243
```

Entry 9:
Ag3HgI6: calculated powder XRD pattern (CuKα), based on a cell relaxed with GGA-PBE.

Most intense lines, 2θ = 5–70°, by angle:
2θ = 21.29°, I 45; 2θ = 24.70°, I 38; 2θ = 26.58°, I 100; 2θ = 31.91°, I 42; 2θ = 40.00°, I 25; 2θ = 41.28°, I 56; 2θ = 43.37°, I 17; 2θ = 44.66°, I 25; 2θ = 48.70°, I 27; 2θ = 67.32°, I 25

Structural model:
```
10
Lattice="3.7883 2.1872 7.2093 -3.7883 2.1872 7.2093 0.0000 -4.3743 7.2093" Properties=species:S:1:pos:R:3 pbc="T T T"
Ag 0.0000 0.0000 0.0000
Ag 0.0000 0.0000 5.5051
Ag 0.0000 0.0000 11.0350
Hg 0.0000 0.0000 16.3422
I -1.0039 -2.1864 9.1203
I -2.4143 -0.1985 12.7214
I -1.3915 1.9627 9.1203
I 1.3790 -1.9916 12.7214
I 2.3955 0.2238 9.1203
I 1.0352 2.1901 12.7214
```

Q: What is the formula in the fourth record?
A: Ag2HgI6

Q: Number 7 is which compound?
A: AgHg4I4